Starting from a DFT-relaxed cell (PBE, Alexandria), the powder diffraction line list of TiCu5Ni6 was calculated for copper Kα.

Lattice parameters (Å, degrees): 4.305 5.216 6.209 90.00 93.79 90.00
Sites, in units of the cell vectors:
Ti (0.000, 0.000, 0.000)
Cu (0.000, 0.500, 0.000)
Cu (0.339, 0.500, 0.669)
Cu (0.345, 0.000, 0.665)
Cu (0.655, 0.000, 0.335)
Cu (0.661, 0.500, 0.331)
Ni (0.158, 0.250, 0.333)
Ni (0.158, 0.750, 0.333)
Ni (0.500, 0.253, 0.000)
Ni (0.500, 0.747, 0.000)
Ni (0.842, 0.250, 0.667)
Ni (0.842, 0.750, 0.667)

Largest 10 diffraction maxima, by angle, 2θ from 15° to 90°:
two_theta  Rel. int.  (hkl)
43.64  100  1 2 1
43.84  33  0 0 3
49.55  45  1 2 -2
53.49  17  2 0 2
75.79  11  3 2 0
76.01  11  1 2 4
88.62  7  2 4 -1
88.73  8  0 4 3
88.86  7  3 2 -3
89.07  7  1 2 -5